Theoretical X-ray powder pattern of ZrTc2Ru for CuKα, from DFT lattice parameters and positions (PBE).
Neutral-atom scattering factors, no anomalous dispersion.

Crystal structure
Cell: 3.227 4.416 9.028 Å, 90.00 90.00 90.00°
Space group Immm (No. 71)
Unique sites:
Zr (0.000, 0.000, 0.000) [2 per cell]
Tc (0.000, 0.500, 0.254) [4 per cell]
Ru (0.000, 0.000, 0.500) [2 per cell]

Most intense lines, 2θ = 5–70°, sorted by position:
- 2θ 39.9, intensity 100, (1 1 2)
- 2θ 40.9, intensity 19, (0 2 0)
- 2θ 57.1, intensity 7, (2 0 0)
- 2θ 58.5, intensity 13, (0 2 4)

---

Theoretical X-ray powder pattern of Zr6TlAu for CuKα, from DFT lattice parameters and positions (PBE).
Neutral-atom scattering factors, no anomalous dispersion.

Crystal structure
Cell: 4.445 4.445 8.847 Å, 90.00 90.00 90.00°
Space group P4/mmm (No. 123)
Unique sites:
Zr (0.000, 0.000, 0.000) [1 per cell]
Zr (0.000, 0.000, 0.500) [1 per cell]
Zr (0.000, 0.500, 0.244) [4 per cell]
Tl (0.500, 0.500, 0.500) [1 per cell]
Au (0.500, 0.500, 0.000) [1 per cell]

Most intense lines, 2θ = 5–70°, sorted by position:
- 2θ 20.0, intensity 14, (0 0 2)
- 2θ 28.4, intensity 12, (1 1 0)
- 2θ 35.0, intensity 100, (1 1 2)
- 2θ 40.6, intensity 33, (2 0 0)
- 2θ 40.8, intensity 16, (0 0 4)
- 2θ 45.7, intensity 5, (2 0 2)
- 2θ 45.8, intensity 2, (1 0 4)
- 2θ 50.3, intensity 4, (2 1 2)
- 2θ 50.5, intensity 2, (1 1 4)
- 2θ 58.8, intensity 11, (2 2 0)
- 2θ 58.9, intensity 22, (2 0 4)
- 2θ 62.9, intensity 2, (2 1 4)